Diffraction record for NiSeO10. The powder diffractogram is computed, not measured: it uses a crystal structure in the Materials Project, relaxed with GGA+U and Cu Kα X-rays.
Kinematic intensities with the Lorentz-polarization factor, no thermal factor.

Top 6 peaks for 2θ = 10–80°, most intense first:
2θ/deg, d/Å, intensity
22.8, 3.902, 100
36.5, 2.459, 21
23.2, 3.835, 16
27.8, 3.205, 12
40.5, 2.227, 12
58.1, 1.588, 10

a = 6.4098 Å, b = 6.4098 Å, c = 15.3411 Å
α = 90.00°, β = 90.00°, γ = 90.00°
Element x y z (fractional)
1 Ni 0.2158 0.2158 0.0000
2 Ni 0.2842 0.7158 0.2500
3 Ni 0.7158 0.2842 0.7500
4 Ni 0.7842 0.7842 0.5000
5 Se 0.2092 0.7908 0.7500
6 Se 0.2908 0.2908 0.5000
7 Se 0.7092 0.7092 0.0000
8 Se 0.7908 0.2092 0.2500
9 O 0.0199 0.8131 0.4320
10 O 0.0304 0.3286 0.5071
11 O 0.0469 0.7246 0.1868
12 O 0.0714 0.3618 0.0869
13 O 0.1006 0.8957 0.6592
14 O 0.1043 0.8994 0.8408
15 O 0.1383 0.5714 0.3369
16 O 0.1714 0.5304 0.7571
17 O 0.1869 0.9801 0.0680
18 O 0.2246 0.4531 0.9368
19 O 0.2754 0.9531 0.3132
20 O 0.3131 0.4801 0.1820
21 O 0.3286 0.0304 0.4929
22 O 0.3618 0.0714 0.9131
23 O 0.3957 0.3994 0.4092
24 O 0.3994 0.3957 0.5908
25 O 0.4286 0.8618 0.1631
26 O 0.4531 0.2246 0.0632
27 O 0.4696 0.8286 0.7429
28 O 0.4801 0.3131 0.8180
29 O 0.5199 0.6869 0.3180
30 O 0.5304 0.1714 0.2429
31 O 0.5469 0.7754 0.5632
32 O 0.5714 0.1383 0.6631
33 O 0.6006 0.6043 0.0908
34 O 0.6043 0.6006 0.9092
35 O 0.6382 0.9286 0.4131
36 O 0.6714 0.9696 0.9929
37 O 0.6869 0.5199 0.6820
38 O 0.7246 0.0469 0.8132
39 O 0.7754 0.5469 0.4368
40 O 0.8131 0.0199 0.5680
41 O 0.8286 0.4696 0.2571
42 O 0.8618 0.4286 0.8369
43 O 0.8957 0.1006 0.3408
44 O 0.8994 0.1043 0.1592
45 O 0.9286 0.6382 0.5869
46 O 0.9531 0.2754 0.6868
47 O 0.9696 0.6714 0.0071
48 O 0.9801 0.1869 0.9320

=====

Diffraction record for Ni3Se2O8. The powder diffractogram is computed, not measured: it uses a crystal structure in the Materials Project, relaxed with GGA+U and Cu Kα X-rays.
Kinematic intensities with the Lorentz-polarization factor, no thermal factor.

Top 6 peaks for 2θ = 10–80°, most intense first:
2θ/deg, d/Å, intensity
37.0, 2.430, 100
24.3, 3.664, 57
28.0, 3.191, 52
13.6, 6.494, 49
20.0, 4.438, 47
51.9, 1.763, 26

a = 12.9770 Å, b = 12.9770 Å, c = 4.8295 Å
α = 90.00°, β = 90.00°, γ = 119.83°
Element x y z (fractional)
1 Ni 0.0678 0.1426 0.0003
2 Ni 0.0677 0.4224 0.9998
3 Ni 0.1426 0.0678 0.5003
4 Ni 0.1447 0.5774 0.5000
5 Ni 0.4224 0.0677 0.4998
6 Ni 0.4226 0.8553 0.5000
7 Ni 0.5774 0.1447 0.0000
8 Ni 0.5776 0.9323 0.9998
9 Ni 0.8553 0.4226 0.0000
10 Ni 0.8574 0.9322 0.0003
11 Ni 0.9323 0.5776 0.4998
12 Ni 0.9322 0.8574 0.5003
13 Se 0.1656 0.8344 0.5533
14 Se 0.2068 0.3528 0.4531
15 Se 0.3528 0.2068 0.9531
16 Se 0.3535 0.6465 0.9533
17 Se 0.6465 0.3535 0.4533
18 Se 0.6472 0.7932 0.4531
19 Se 0.7932 0.6472 0.9531
20 Se 0.8344 0.1656 0.0533
21 O 0.0143 0.5288 0.7953
22 O 0.0199 0.9801 0.8070
23 O 0.0913 0.2951 0.2078
24 O 0.0989 0.9011 0.3702
25 O 0.0996 0.7005 0.3738
26 O 0.1683 0.2300 0.6625
27 O 0.1685 0.4382 0.6612
28 O 0.2300 0.1683 0.1625
29 O 0.2306 0.5617 0.1618
30 O 0.2951 0.0913 0.7078
31 O 0.2955 0.7045 0.7094
32 O 0.2995 0.9004 0.3738
33 O 0.4382 0.1685 0.1612
34 O 0.4383 0.7694 0.1618
35 O 0.4712 0.9857 0.7953
36 O 0.5000 0.5000 0.3586
37 O 0.5000 0.5000 0.8586
38 O 0.5288 0.0143 0.2953
39 O 0.5617 0.2306 0.6618
40 O 0.5618 0.8315 0.6612
41 O 0.7005 0.0996 0.8738
42 O 0.7045 0.2955 0.2094
43 O 0.7049 0.9087 0.2078
44 O 0.7694 0.4383 0.6618
45 O 0.7700 0.8317 0.6625
46 O 0.8315 0.5618 0.1612
47 O 0.8317 0.7700 0.1625
48 O 0.9004 0.2995 0.8738
49 O 0.9011 0.0989 0.8702
50 O 0.9087 0.7049 0.7078
51 O 0.9801 0.0199 0.3070
52 O 0.9857 0.4712 0.2953

=====

Diffraction record for Ni3Se3O10. The powder diffractogram is computed, not measured: it uses a crystal structure in the Materials Project, relaxed with GGA+U and Cu Kα X-rays.
Kinematic intensities with the Lorentz-polarization factor, no thermal factor.

Top 6 peaks for 2θ = 10–80°, most intense first:
2θ/deg, d/Å, intensity
30.3, 2.954, 100
28.1, 3.172, 81
34.0, 2.633, 78
31.3, 2.860, 56
21.8, 4.083, 51
11.9, 7.447, 43

a = 8.1753 Å, b = 8.2168 Å, c = 8.3102 Å
α = 61.59°, β = 70.62°, γ = 68.05°
Element x y z (fractional)
1 Ni 0.0000 0.0000 0.0000
2 Ni 0.0304 0.6592 0.7900
3 Ni 0.1310 0.2876 0.6038
4 Ni 0.5000 0.5000 0.5000
5 Ni 0.8690 0.7124 0.3962
6 Ni 0.9696 0.3408 0.2100
7 Se 0.2347 0.5718 0.2302
8 Se 0.3244 0.8303 0.6927
9 Se 0.3265 0.2003 0.9488
10 Se 0.6735 0.7997 0.0512
11 Se 0.6756 0.1697 0.3073
12 Se 0.7653 0.4282 0.7698
13 O 0.0493 0.4657 0.3313
14 O 0.1060 0.7899 0.2390
15 O 0.1228 0.0924 0.3182
16 O 0.1341 0.8092 0.8729
17 O 0.1689 0.4044 0.9768
18 O 0.2138 0.1308 0.8556
19 O 0.2675 0.0632 0.5301
20 O 0.2846 0.6940 0.6104
21 O 0.3137 0.4424 0.4388
22 O 0.4860 0.2878 0.7674
23 O 0.5140 0.7122 0.2326
24 O 0.6863 0.5576 0.5612
25 O 0.7154 0.3060 0.3896
26 O 0.7325 0.9368 0.4699
27 O 0.7862 0.8692 0.1444
28 O 0.8311 0.5956 0.0232
29 O 0.8659 0.1908 0.1271
30 O 0.8772 0.9076 0.6818
31 O 0.8940 0.2101 0.7610
32 O 0.9507 0.5343 0.6687

=====

Diffraction record for Sr2NiSe3O9. The powder diffractogram is computed, not measured: it uses a crystal structure in the Materials Project, relaxed with GGA+U and Cu Kα X-rays.
Kinematic intensities with the Lorentz-polarization factor, no thermal factor.

Top 6 peaks for 2θ = 10–80°, most intense first:
2θ/deg, d/Å, intensity
29.9, 2.990, 100
26.4, 3.377, 95
28.9, 3.085, 62
31.7, 2.825, 37
28.5, 3.135, 35
31.1, 2.876, 33

a = 7.4441 Å, b = 7.7208 Å, c = 8.8496 Å
α = 103.02°, β = 105.49°, γ = 95.39°
Element x y z (fractional)
1 Sr 0.1283 0.4817 0.3068
2 Sr 0.2523 0.9126 0.1114
3 Sr 0.7477 0.0874 0.8886
4 Sr 0.8717 0.5183 0.6932
5 Ni 0.4064 0.6647 0.7480
6 Ni 0.5936 0.3353 0.2520
7 Se 0.1408 0.9160 0.7062
8 Se 0.2649 0.3646 0.9126
9 Se 0.4054 0.2127 0.5451
10 Se 0.5946 0.7873 0.4549
11 Se 0.7351 0.6354 0.0874
12 Se 0.8592 0.0840 0.2938
13 O 0.0071 0.1224 0.1799
14 O 0.0243 0.2993 0.8521
15 O 0.1361 0.6964 0.5989
16 O 0.2734 0.5925 0.9125
17 O 0.3248 0.3603 0.1147
18 O 0.3343 0.4223 0.5749
19 O 0.3591 0.9433 0.8509
20 O 0.3695 0.7501 0.3278
21 O 0.4343 0.1870 0.3549
22 O 0.5657 0.8130 0.6451
23 O 0.6305 0.2499 0.6722
24 O 0.6409 0.0567 0.1491
25 O 0.6657 0.5777 0.4251
26 O 0.6752 0.6397 0.8853
27 O 0.7266 0.4075 0.0875
28 O 0.8639 0.3036 0.4011
29 O 0.9757 0.7007 0.1479
30 O 0.9929 0.8776 0.8201

=====

Diffraction record for Si4NiO10. The powder diffractogram is computed, not measured: it uses a crystal structure in the Materials Project, relaxed with GGA+U and Cu Kα X-rays.
Kinematic intensities with the Lorentz-polarization factor, no thermal factor.

Top 6 peaks for 2θ = 10–80°, most intense first:
2θ/deg, d/Å, intensity
22.4, 3.961, 100
29.5, 3.031, 78
25.6, 3.485, 56
17.1, 5.187, 44
26.8, 3.328, 32
24.3, 3.668, 28

a = 7.3351 Å, b = 15.8435 Å, c = 10.3648 Å
α = 90.00°, β = 134.95°, γ = 90.00°
Element x y z (fractional)
1 Si 0.0646 0.1505 0.4935
2 Si 0.0646 0.8495 0.9935
3 Si 0.0660 0.3495 0.5725
4 Si 0.0660 0.6505 0.0725
5 Si 0.4211 0.1516 0.4285
6 Si 0.4209 0.3497 0.9936
7 Si 0.4209 0.6503 0.4936
8 Si 0.4211 0.8484 0.9285
9 Si 0.5789 0.1516 0.0715
10 Si 0.5791 0.3497 0.5064
11 Si 0.5791 0.6503 0.0064
12 Si 0.5789 0.8484 0.5715
13 Si 0.9340 0.3495 0.9275
14 Si 0.9340 0.6505 0.4275
15 Si 0.9354 0.1505 0.0065
16 Si 0.9354 0.8495 0.5065
17 Ni 0.0000 0.0910 0.7500
18 Ni 0.0000 0.4084 0.2500
19 Ni 0.0000 0.5916 0.7500
20 Ni 0.0000 0.9090 0.2500
21 O 0.0783 0.2496 0.5411
22 O 0.0783 0.7504 0.0411
23 O 0.1116 0.0870 0.6394
24 O 0.1116 0.9130 0.1394
25 O 0.1170 0.4114 0.4741
26 O 0.1170 0.5886 0.9741
27 O 0.2141 0.1311 0.2116
28 O 0.2138 0.3701 0.0034
29 O 0.2138 0.6299 0.5034
30 O 0.2141 0.8689 0.7116
31 O 0.2921 0.1309 0.5035
32 O 0.2917 0.3703 0.7895
33 O 0.2917 0.6297 0.2895
34 O 0.2921 0.8691 0.0035
35 O 0.3245 0.0930 0.9690
36 O 0.3236 0.4076 0.3532
37 O 0.3236 0.5924 0.8532
38 O 0.3245 0.9070 0.4690
39 O 0.4999 0.2505 0.0386
40 O 0.5001 0.2505 0.4614
41 O 0.4999 0.7495 0.5386
42 O 0.5001 0.7495 0.9614
43 O 0.6755 0.0930 0.5310
44 O 0.6764 0.4076 0.1468
45 O 0.6764 0.5924 0.6468
46 O 0.6755 0.9070 0.0310
47 O 0.7079 0.1309 0.9965
48 O 0.7083 0.3703 0.7105
49 O 0.7083 0.6297 0.2105
50 O 0.7079 0.8691 0.4965
51 O 0.7859 0.1311 0.2884
52 O 0.7862 0.3701 0.4966
53 O 0.7862 0.6299 0.9966
54 O 0.7859 0.8689 0.7884
55 O 0.8830 0.4114 0.0259
56 O 0.8830 0.5886 0.5259
57 O 0.8884 0.0870 0.8606
58 O 0.8884 0.9130 0.3606
59 O 0.9217 0.2496 0.9589
60 O 0.9217 0.7504 0.4589

=====

Diffraction record for Si4NiO10. The powder diffractogram is computed, not measured: it uses a crystal structure in the Materials Project, relaxed with GGA+U and Cu Kα X-rays.
Kinematic intensities with the Lorentz-polarization factor, no thermal factor.

Top 6 peaks for 2θ = 10–80°, most intense first:
2θ/deg, d/Å, intensity
22.4, 3.961, 100
29.5, 3.031, 77
25.6, 3.485, 54
17.1, 5.187, 43
26.8, 3.328, 31
24.3, 3.668, 28

a = 7.3355 Å, b = 7.3355 Å, c = 15.8435 Å
α = 90.00°, β = 90.00°, γ = 90.10°
Element x y z (fractional)
1 Si 0.0065 0.0725 0.1502
2 Si 0.0064 0.4274 0.6500
3 Si 0.0725 0.0065 0.6502
4 Si 0.0726 0.4936 0.1500
5 Si 0.4274 0.0064 0.1500
6 Si 0.4275 0.4935 0.6502
7 Si 0.4936 0.0726 0.6500
8 Si 0.4935 0.4275 0.1502
9 Si 0.5065 0.5725 0.8498
10 Si 0.5064 0.9274 0.3500
11 Si 0.5725 0.5065 0.3498
12 Si 0.5726 0.9936 0.8500
13 Si 0.9274 0.5064 0.8500
14 Si 0.9275 0.9935 0.3498
15 Si 0.9936 0.5726 0.3500
16 Si 0.9935 0.9275 0.8498
17 Ni 0.2500 0.2500 0.4087
18 Ni 0.2500 0.2500 0.9087
19 Ni 0.7500 0.7500 0.0913
20 Ni 0.7500 0.7500 0.5913
21 O 0.0023 0.7105 0.8700
22 O 0.0034 0.7897 0.3704
23 O 0.0259 0.1429 0.4116
24 O 0.0296 0.3532 0.9079
25 O 0.0386 0.5386 0.2500
26 O 0.0391 0.9609 0.7500
27 O 0.1429 0.0259 0.9116
28 O 0.1468 0.4704 0.4079
29 O 0.2103 0.9966 0.1296
30 O 0.2105 0.5023 0.6300
31 O 0.2895 0.9977 0.6300
32 O 0.2897 0.5034 0.1296
33 O 0.3532 0.0296 0.4079
34 O 0.3571 0.4741 0.9116
35 O 0.4609 0.5391 0.7500
36 O 0.4614 0.9614 0.2500
37 O 0.4704 0.1468 0.9079
38 O 0.4741 0.3571 0.4116
39 O 0.4966 0.7103 0.3704
40 O 0.4977 0.7895 0.8700
41 O 0.5023 0.2105 0.1300
42 O 0.5034 0.2897 0.6296
43 O 0.5259 0.6429 0.5884
44 O 0.5296 0.8532 0.0921
45 O 0.5386 0.0386 0.7500
46 O 0.5391 0.4609 0.2500
47 O 0.6429 0.5259 0.0884
48 O 0.6468 0.9704 0.5921
49 O 0.7103 0.4966 0.8704
50 O 0.7105 0.0023 0.3700
51 O 0.7895 0.4977 0.3700
52 O 0.7897 0.0034 0.8704
53 O 0.8532 0.5296 0.5921
54 O 0.8571 0.9741 0.0884
55 O 0.9609 0.0391 0.2500
56 O 0.9614 0.4614 0.7500
57 O 0.9704 0.6468 0.0921
58 O 0.9741 0.8571 0.5884
59 O 0.9966 0.2103 0.6296
60 O 0.9977 0.2895 0.1300